# 1
LiCoP4O12: calculated X-ray powder pattern (Cu Kα, 1.54184 Å), based on DFT lattice parameters and positions (PBE+U).
Neutral-atom scattering factors, no anomalous dispersion.

Largest 10 diffraction maxima, by angle, 2θ = 5–70°:
- 12.84°, I = 88
- 18.78°, I = 34
- 25.86°, I = 25
- 26.37°, I = 100
- 27.44°, I = 35
- 27.62°, I = 29
- 28.35°, I = 15
- 30.47°, I = 19
- 31.70°, I = 29
- 32.59°, I = 28

Structural model:
```
LiCoP4O12
1.0
5.084 0.000 0.000
-2.422 6.728 0.000
-0.932 -2.887 6.892
Li Co P O
1 1 4 12
Direct
0.000 0.000 0.000
0.655 0.710 0.539
0.015 0.520 0.760
0.311 0.922 0.345
0.510 0.118 0.767
0.825 0.314 0.336
0.047 0.866 0.198
0.051 0.401 0.545
0.277 0.036 0.560
0.292 0.599 0.901
0.356 0.143 0.919
0.407 0.744 0.359
0.588 0.101 0.335
0.660 0.959 0.741
0.689 0.479 0.355
0.746 0.339 0.782
0.893 0.685 0.740
0.964 0.261 0.178
```



# 2
LiCoP2O7: calculated X-ray powder pattern (Cu Kα, 1.54184 Å), based on DFT lattice parameters and positions (PBE+U).
Neutral-atom scattering factors, no anomalous dispersion.

Largest 10 diffraction maxima, by angle, 2θ = 5–70°:
- 14.56°, I = 46
- 22.04°, I = 100
- 23.90°, I = 62
- 31.22°, I = 39
- 34.55°, I = 21
- 36.44°, I = 10
- 39.40°, I = 11
- 43.25°, I = 9
- 48.93°, I = 10
- 53.37°, I = 10

Structural model:
```
LiCoP2O7
1.0
8.007 0.000 0.000
0.000 5.193 0.000
-5.062 0.000 12.808
Li Co P O
4 4 8 28
Direct
0.000 0.020 0.000
0.000 0.980 0.500
0.446 0.414 0.344
0.446 0.586 0.844
0.150 0.015 0.319
0.150 0.985 0.819
0.689 0.465 0.045
0.689 0.535 0.545
0.116 0.466 0.656
0.116 0.534 0.156
0.240 0.482 0.480
0.240 0.518 0.980
0.599 0.052 0.871
0.599 0.948 0.371
0.720 0.042 0.692
0.720 0.958 0.192
0.107 0.176 0.672
0.107 0.824 0.172
0.138 0.283 0.922
0.138 0.717 0.422
0.147 0.221 0.446
0.147 0.779 0.946
0.192 0.383 0.258
0.192 0.617 0.758
0.262 0.485 0.101
0.262 0.515 0.601
0.405 0.008 0.361
0.405 0.992 0.861
0.432 0.466 0.482
0.432 0.534 0.982
0.580 0.014 0.750
0.580 0.986 0.250
0.644 0.131 0.096
0.644 0.869 0.596
0.646 0.336 0.897
0.646 0.664 0.397
0.723 0.328 0.667
0.723 0.672 0.167
0.734 0.137 0.440
0.734 0.863 0.940
0.902 0.050 0.270
0.902 0.950 0.770
0.942 0.415 0.077
0.942 0.585 0.577
```



# 3
LiCoP2O7: calculated X-ray powder pattern (Cu Kα, 1.54184 Å), based on DFT lattice parameters and positions (PBE+U).
Neutral-atom scattering factors, no anomalous dispersion.

Largest 10 diffraction maxima, by angle, 2θ = 5–70°:
- 17.69°, I = 79
- 21.68°, I = 54
- 24.32°, I = 36
- 29.37°, I = 99
- 29.78°, I = 100
- 30.67°, I = 84
- 35.81°, I = 36
- 43.12°, I = 27
- 44.41°, I = 27
- 58.26°, I = 31

Structural model:
```
LiCoP2O7
1.0
3.259 -4.099 0.000
3.259 4.099 0.000
-1.058 0.000 4.402
Li Co P O
1 1 2 7
Direct
0.000 0.000 0.000
0.628 0.372 0.000
0.082 0.497 0.591
0.503 0.918 0.409
0.228 0.772 0.500
0.283 0.370 0.750
0.404 0.099 0.198
0.630 0.717 0.250
0.683 0.068 0.712
0.901 0.596 0.802
0.932 0.317 0.288
```



# 4
LiCoP4O12: calculated X-ray powder pattern (Cu Kα, 1.54184 Å), based on DFT lattice parameters and positions (PBE+U).
Neutral-atom scattering factors, no anomalous dispersion.

Largest 10 diffraction maxima, by angle, 2θ = 5–70°:
- 16.02°, I = 54
- 16.51°, I = 65
- 18.42°, I = 63
- 23.19°, I = 100
- 26.99°, I = 94
- 27.34°, I = 76
- 28.26°, I = 44
- 31.67°, I = 58
- 31.97°, I = 31
- 32.36°, I = 45

Structural model:
```
LiCoP4O12
1.0
4.054 -5.711 0.000
4.054 5.711 0.000
-0.376 0.000 9.636
Li Co P O
2 2 8 24
Direct
0.158 0.842 0.750
0.842 0.158 0.250
0.116 0.884 0.250
0.884 0.116 0.750
0.203 0.275 0.029
0.275 0.203 0.529
0.275 0.637 0.469
0.363 0.725 0.031
0.637 0.275 0.969
0.725 0.363 0.531
0.725 0.797 0.471
0.797 0.725 0.971
0.072 0.268 0.902
0.109 0.145 0.149
0.131 0.653 0.353
0.145 0.109 0.649
0.225 0.397 0.479
0.263 0.727 0.895
0.268 0.072 0.402
0.273 0.737 0.605
0.293 0.500 0.093
0.347 0.869 0.147
0.397 0.225 0.979
0.500 0.293 0.593
0.500 0.707 0.407
0.603 0.775 0.021
0.653 0.131 0.853
0.707 0.500 0.907
0.727 0.263 0.395
0.732 0.928 0.598
0.737 0.273 0.105
0.775 0.603 0.521
0.855 0.891 0.351
0.869 0.347 0.647
0.891 0.855 0.851
0.928 0.732 0.098
```



# 5
Li6Co5P8O28: calculated X-ray powder pattern (Cu Kα, 1.54184 Å), based on DFT lattice parameters and positions (PBE+U).
Neutral-atom scattering factors, no anomalous dispersion.

Largest 10 diffraction maxima, by angle, 2θ = 5–70°:
- 9.24°, I = 50
- 13.96°, I = 63
- 18.73°, I = 34
- 22.10°, I = 27
- 25.96°, I = 32
- 27.62°, I = 32
- 27.97°, I = 100
- 29.42°, I = 36
- 30.82°, I = 42
- 33.36°, I = 31

Structural model:
```
Li6Co5P8O28
1.0
6.355 0.000 0.000
-0.410 8.465 0.000
-0.056 -3.075 9.570
Li Co P O
6 5 8 28
Direct
0.000 0.000 0.000
0.019 0.662 0.109
0.093 0.107 0.624
0.500 0.000 0.000
0.907 0.893 0.376
0.981 0.338 0.891
0.311 0.387 0.144
0.357 0.382 0.560
0.500 0.000 0.500
0.643 0.618 0.440
0.689 0.613 0.856
0.152 0.707 0.517
0.187 0.681 0.811
0.264 0.040 0.238
0.475 0.254 0.820
0.525 0.746 0.180
0.736 0.960 0.762
0.813 0.319 0.189
0.848 0.293 0.483
0.018 0.585 0.870
0.044 0.339 0.578
0.069 0.925 0.223
0.079 0.701 0.668
0.223 0.886 0.527
0.237 0.853 0.909
0.258 0.149 0.141
0.299 0.307 0.924
0.326 0.581 0.470
0.327 0.630 0.151
0.337 0.134 0.389
0.385 0.580 0.761
0.393 0.209 0.667
0.459 0.923 0.169
0.541 0.077 0.831
0.607 0.791 0.333
0.615 0.420 0.239
0.663 0.866 0.611
0.673 0.370 0.849
0.674 0.419 0.530
0.701 0.693 0.076
0.742 0.851 0.859
0.763 0.147 0.091
0.777 0.114 0.473
0.921 0.299 0.332
0.931 0.075 0.777
0.956 0.661 0.422
0.982 0.415 0.130
```



# 6
Li3Co2P3O12: calculated X-ray powder pattern (Cu Kα, 1.54184 Å), based on DFT lattice parameters and positions (PBE+U).
Neutral-atom scattering factors, no anomalous dispersion.

Largest 10 diffraction maxima, by angle, 2θ = 5–70°:
- 14.65°, I = 82
- 20.18°, I = 87
- 21.36°, I = 27
- 24.54°, I = 100
- 29.55°, I = 59
- 32.36°, I = 90
- 37.45°, I = 26
- 50.31°, I = 24
- 53.19°, I = 23
- 62.50°, I = 22

Structural model:
```
Li3Co2P3O12
1.0
4.159 2.401 7.411
-4.159 2.401 7.411
0.000 -4.803 7.411
Li Co P O
6 4 6 24
Direct
0.168 0.421 0.764
0.236 0.832 0.579
0.421 0.764 0.168
0.579 0.236 0.832
0.764 0.168 0.421
0.832 0.579 0.236
0.153 0.153 0.153
0.352 0.352 0.352
0.648 0.648 0.648
0.847 0.847 0.847
0.038 0.758 0.458
0.242 0.542 0.962
0.458 0.038 0.758
0.542 0.962 0.242
0.758 0.458 0.038
0.962 0.242 0.542
0.006 0.975 0.326
0.025 0.674 0.994
0.032 0.715 0.661
0.116 0.295 0.513
0.246 0.624 0.373
0.285 0.339 0.968
0.295 0.513 0.116
0.326 0.006 0.975
0.339 0.968 0.285
0.373 0.246 0.624
0.376 0.627 0.754
0.487 0.884 0.705
0.513 0.116 0.295
0.624 0.373 0.246
0.627 0.754 0.376
0.661 0.032 0.715
0.674 0.994 0.025
0.705 0.487 0.884
0.715 0.661 0.032
0.754 0.376 0.627
0.884 0.705 0.487
0.968 0.285 0.339
0.975 0.326 0.006
0.994 0.025 0.674
```